The following is a calculated PXRD pattern of Rb3Sn2Bi4. It was derived from a DFT-relaxed cell (PBE, Alexandria), using Cu Kα (weighted mean of Kα1 and Kα2).

Structural model:
```
Rb3Sn2Bi4
1.0
5.3606 0.0000 0.0000
-2.6732 6.7822 0.0000
-0.0208 -2.4259 10.2920
Rb Sn Bi
3 2 4
Direct
0.0000 0.0000 0.0000
0.3941 0.7887 0.2937
0.6059 0.2113 0.7063
0.3009 0.6010 0.6444
0.6991 0.3990 0.3556
0.1008 0.2019 0.4251
0.2751 0.5504 0.9281
0.7249 0.4496 0.0719
0.8992 0.7981 0.5749
```

Most intense lines, 2θ = 15–90°, by angle:
| d/Å | I (rel.) |
| --- | --- |
| 5.055 | 36 |
| 4.632 | 31 |
| 3.429 | 92 |
| 3.415 | 100 |
| 3.377 | 32 |
| 2.951 | 55 |
| 2.793 | 31 |
| 2.680 | 67 |
| 2.663 | 87 |
| 2.369 | 60 |


The following is a calculated PXRD pattern of Fe2MoRh8. It was derived from a DFT-relaxed cell (PBE, Alexandria), using Cu Kα (weighted mean of Kα1 and Kα2).

Structural model:
```
Fe2MoRh8
1.0
3.9316 -5.0343 0.0000
3.9316 5.0343 0.0000
0.0000 0.0000 4.0270
Fe Mo Rh
2 1 8
Direct
0.1150 0.8850 0.0000
0.8850 0.1150 0.0000
0.5000 0.5000 0.5000
0.1684 0.1684 0.5000
0.1967 0.4630 0.0000
0.2418 0.7582 0.5000
0.4630 0.1967 0.0000
0.5370 0.8033 0.0000
0.7582 0.2418 0.5000
0.8033 0.5370 0.0000
0.8316 0.8316 0.5000
```

Most intense lines, 2θ = 15–90°, by angle:
| d/Å | I (rel.) |
| --- | --- |
| 2.813 | 19 |
| 2.455 | 23 |
| 2.146 | 84 |
| 2.134 | 100 |
| 2.066 | 46 |
| 2.014 | 43 |
| 1.442 | 29 |
| 1.203 | 18 |
| 1.184 | 14 |
| 1.117 | 24 |


The following is a calculated PXRD pattern of NaLaHg14. It was derived from a DFT-relaxed cell (PBE, Alexandria), using Cu Kα (weighted mean of Kα1 and Kα2).

Structural model:
```
NaLaHg14
1.0
6.8664 0.0000 0.0000
0.0000 6.8664 0.0000
0.0000 0.0000 8.9032
Na La Hg
1 1 14
Direct
0.0000 0.0000 0.0000
0.5000 0.5000 0.0000
0.0000 0.0000 0.5000
0.0000 0.5000 0.0000
0.0000 0.5000 0.5000
0.2446 0.2446 0.2536
0.2446 0.2446 0.7464
0.2446 0.7554 0.2536
0.2446 0.7554 0.7464
0.5000 0.0000 0.0000
0.5000 0.0000 0.5000
0.5000 0.5000 0.5000
0.7554 0.2446 0.2536
0.7554 0.2446 0.7464
0.7554 0.7554 0.2536
0.7554 0.7554 0.7464
```

Most intense lines, 2θ = 15–90°, by angle:
| d/Å | I (rel.) |
| --- | --- |
| 2.719 | 100 |
| 2.428 | 37 |
| 2.226 | 14 |
| 1.717 | 13 |
| 1.641 | 22 |
| 1.451 | 30 |
| 1.362 | 12 |
| 1.359 | 12 |
| 1.214 | 4 |
| 1.108 | 7 |